Record 1
# Tb2PmSe5
Calculated XRD peak list, a wavelength of 1.5418 Å. Input: DFT lattice parameters and positions (PBE).
Lines closer than 0.1° are merged.

The 12 most intense peaks (10 to 90 degrees two-theta), most intense first:
hkl 2 1 3, 2θ 33.09, 2.707 Å, I 100
hkl 3 1 0, 2θ 37.06, 2.426 Å, I 49
hkl 4 2 0, 2θ 53.45, 1.714 Å, I 21
hkl 5 2 3, 2θ 69.33, 1.355 Å, I 19
hkl 2 0 2, 2θ 26.87, 3.319 Å, I 14
hkl 2 1 5, 2θ 43.21, 2.094 Å, I 14
hkl 1 1 2, 2θ 21.19, 4.193 Å, I 12
hkl 0 0 2, 2θ 13.40, 6.608 Å, I 11
hkl 3 1 8, 2θ 68.75, 1.365 Å, I 11
hkl 1 1 4, 2θ 31.71, 2.822 Å, I 10
hkl 3 1 4, 2θ 46.44, 1.955 Å, I 10
hkl 3 3 6, 2θ 66.96, 1.398 Å, I 9

Cell and atoms:
a b c (Å): 7.6706 7.6706 13.2169
angles (deg): 90.00 90.00 90.00
Space group I4/mcm (No. 140)
Asymmetric unit:
Tb (0.1555, 0.3445, 0.0000) x8
Pm (0.0000, 0.0000, 0.2500) x4
Se (0.0000, 0.0000, 0.0000) x4
Se (0.1548, 0.3452, 0.3530) x16

***

Record 2
# Tb4Pm3Se8
Calculated XRD peak list, a wavelength of 1.5418 Å. Input: DFT lattice parameters and positions (PBE).
Lines closer than 0.1° are merged.

The 12 most intense peaks (10 to 90 degrees two-theta), most intense first:
hkl 0 4 0, 2θ 30.60, 2.921 Å, I 100
hkl 4 0 0, 2θ 43.81, 2.066 Å, I 62
hkl 0 8 2, 2θ 72.35, 1.306 Å, I 19
hkl 4 4 0, 2θ 54.34, 1.688 Å, I 13
hkl 4 4 -4, 2θ 54.46, 1.685 Å, I 13
hkl 4 8 0, 2θ 80.46, 1.194 Å, I 13
hkl 8 4 -6, 2θ 80.63, 1.192 Å, I 12
hkl 4 0 -4, 2θ 43.90, 2.062 Å, I 12
hkl 2 2 0, 2θ 26.42, 3.373 Å, I 12
hkl 0 8 0, 2θ 63.71, 1.461 Å, I 12
hkl 4 0 2, 2θ 72.26, 1.307 Å, I 11
hkl 1 1 0, 2θ 13.12, 6.748 Å, I 8

Cell and atoms:
a b c (Å): 11.6800 11.6854 8.2494
angles (deg): 90.00 134.89 90.00
Space group C2/m (No. 12)
Asymmetric unit:
Tb (0.0000, 0.0000, 0.0000) x2
Tb (0.0000, 0.0000, 0.5000) x2
Tb (0.2500, 0.2500, 0.0000) x4
Pm (0.0000, 0.5000, 0.5000) x2
Pm (0.2500, 0.2500, 0.5000) x4
Se (0.0000, 0.2472, 0.5000) x4
Se (0.0000, 0.2509, 0.0000) x4
Se (0.2478, 0.0000, 0.5013) x4
Se (0.2484, 0.0000, 0.9943) x4

***

Record 3
# Tb2Pm2Se5
Calculated XRD peak list, a wavelength of 1.5418 Å. Input: DFT lattice parameters and positions (PBE).
Lines closer than 0.1° are merged.

The 12 most intense peaks (10 to 90 degrees two-theta), most intense first:
hkl 1 1 3, 2θ 37.08, 2.425 Å, I 100
hkl 3 1 2, 2θ 31.50, 2.840 Å, I 73
hkl 4 2 1, 2θ 35.40, 2.536 Å, I 61
hkl 5 1 3, 2θ 48.10, 1.892 Å, I 51
hkl 2 2 1, 2θ 28.34, 3.149 Å, I 38
hkl 2 0 2, 2θ 25.89, 3.441 Å, I 36
hkl 0 2 2, 2θ 32.59, 2.748 Å, I 35
hkl 7 3 3, 2θ 67.61, 1.386 Å, I 33
hkl 5 1 1, 2θ 34.39, 2.608 Å, I 28
hkl 6 0 0, 2θ 36.39, 2.469 Å, I 26
hkl 3 1 1, 2θ 24.23, 3.673 Å, I 24
hkl 5 1 2, 2θ 40.00, 2.254 Å, I 22

Cell and atoms:
a b c (Å): 14.8132 7.7845 7.7600
angles (deg): 90.00 90.00 90.00
Space group Cmce (No. 64)
Asymmetric unit:
Tb (0.0000, 0.1512, 0.1566) x8
Pm (0.1974, 0.0000, 0.5000) x8
Se (0.0000, 0.0000, 0.5000) x4
Se (0.1368, 0.1586, 0.8458) x16

***

Record 4
# TbPm2Th3Se6
Calculated XRD peak list, a wavelength of 1.5418 Å. Input: DFT lattice parameters and positions (PBE).
Lines closer than 0.1° are merged.

The 12 most intense peaks (10 to 90 degrees two-theta), most intense first:
hkl 2 0 -2, 2θ 30.24, 2.956 Å, I 100
hkl 1 3 -3, 2θ 42.82, 2.112 Å, I 26
hkl 3 3 -1, 2θ 43.75, 2.069 Å, I 24
hkl 1 3 -1, 2θ 26.52, 3.360 Å, I 15
hkl 2 0 2, 2θ 42.21, 2.141 Å, I 13
hkl 2 6 -2, 2θ 54.62, 1.680 Å, I 13
hkl 0 6 0, 2θ 44.37, 2.042 Å, I 12
hkl 5 3 -3, 2θ 72.01, 1.311 Å, I 11
hkl 0 0 2, 2θ 25.33, 3.516 Å, I 10
hkl 2 6 2, 2θ 62.90, 1.478 Å, I 8
hkl 2 0 0, 2θ 26.05, 3.420 Å, I 8
hkl 0 0 4, 2θ 51.98, 1.759 Å, I 7

Cell and atoms:
a b c (Å): 7.2014 12.2506 7.4074
angles (deg): 90.00 108.21 90.00
Space group C2/m (No. 12)
Asymmetric unit:
Tb (0.0000, 0.0000, 0.0000) x2
Pm (0.0000, 0.3344, 0.0000) x4
Th (0.0000, 0.1712, 0.5000) x4
Th (0.0000, 0.5000, 0.5000) x2
Se (0.2433, 0.1637, 0.2401) x8
Se (0.2446, 0.0000, 0.7537) x4

***

Record 5
# Pm4Te4Se
Calculated XRD peak list, a wavelength of 1.5418 Å. Input: DFT lattice parameters and positions (PBE).
Lines closer than 0.1° are merged.

The 12 most intense peaks (10 to 90 degrees two-theta), most intense first:
hkl 1 1 2, 2θ 21.76, 4.085 Å, I 100
hkl 2 0 4, 2θ 36.76, 2.445 Å, I 52
hkl 2 2 0, 2θ 34.11, 2.629 Å, I 39
hkl 3 1 2, 2θ 40.82, 2.211 Å, I 28
hkl 2 1 3, 2θ 34.01, 2.636 Å, I 24
hkl 4 2 4, 2θ 62.79, 1.480 Å, I 17
hkl 2 1 1, 2θ 27.68, 3.222 Å, I 14
hkl 3 0 3, 2θ 42.02, 2.150 Å, I 13
hkl 4 0 0, 2θ 49.00, 1.859 Å, I 12
hkl 4 4 0, 2θ 71.78, 1.315 Å, I 10
hkl 1 1 6, 2θ 45.34, 2.000 Å, I 9
hkl 3 2 7, 2θ 68.00, 1.379 Å, I 6

Cell and atoms:
a b c (Å): 7.4351 7.4351 12.9767
angles (deg): 90.00 90.00 90.00
Space group I-42m (No. 121)
Asymmetric unit:
Pm (0.2138, 0.2138, 0.1325) x8
Te (0.0000, 0.0000, 0.3007) x4
Te (0.0000, 0.5000, 0.0000) x4
Se (0.0000, 0.0000, 0.0000) x2

***

Record 6
# Pm7Te4Se4
Calculated XRD peak list, a wavelength of 1.5418 Å. Input: DFT lattice parameters and positions (PBE).
Lines closer than 0.1° are merged.

The 12 most intense peaks (10 to 90 degrees two-theta), most intense first:
hkl 5 0 1, 2θ 31.66, 2.826 Å, I 100
hkl 3 1 2, 2θ 30.33, 2.947 Å, I 36
hkl 5 0 3, 2θ 47.20, 1.925 Å, I 33
hkl 4 2 2, 2θ 35.69, 2.516 Å, I 32
hkl 0 0 2, 2θ 23.92, 3.720 Å, I 24
hkl 6 0 0, 2θ 35.26, 2.546 Å, I 15
hkl 0 0 4, 2θ 48.97, 1.860 Å, I 14
hkl 3 3 2, 2θ 34.67, 2.587 Å, I 12
hkl 5 0 5, 2θ 70.37, 1.338 Å, I 10
hkl 9 1 2, 2θ 60.25, 1.536 Å, I 10
hkl 7 3 0, 2θ 45.21, 2.005 Å, I 9
hkl 9 7 2, 2θ 75.42, 1.260 Å, I 9

Cell and atoms:
a b c (Å): 15.2730 15.2730 7.4407
angles (deg): 90.00 90.00 90.00
Space group I4/mmm (No. 139)
Asymmetric unit:
Pm (0.0000, 0.0000, 0.2484) x4
Pm (0.0000, 0.2838, 0.0000) x8
Pm (0.0000, 0.3832, 0.5000) x8
Pm (0.2099, 0.2099, 0.5000) x8
Te (0.0000, 0.1755, 0.5000) x8
Te (0.1284, 0.1284, 0.0000) x8
Se (0.1487, 0.3513, 0.2500) x16

***

Record 7
# Pm6Te2Se3
Calculated XRD peak list, a wavelength of 1.5418 Å. Input: DFT lattice parameters and positions (PBE).
Lines closer than 0.1° are merged.

The 12 most intense peaks (10 to 90 degrees two-theta), most intense first:
hkl 0 1 11, 2θ 28.99, 3.080 Å, I 100
hkl 1 1 0, 2θ 43.05, 2.101 Å, I 45
hkl 1 0 25, 2θ 43.41, 2.084 Å, I 21
hkl 2 0 11, 2θ 52.74, 1.736 Å, I 19
hkl 0 1 14, 2θ 31.50, 2.840 Å, I 17
hkl 1 2 11, 2θ 70.35, 1.338 Å, I 16
hkl 1 0 22, 2θ 39.83, 2.263 Å, I 15
hkl 1 1 36, 2θ 69.54, 1.352 Å, I 13
hkl 0 1 8, 2θ 26.95, 3.309 Å, I 13
hkl 1 0 19, 2θ 36.48, 2.463 Å, I 13
hkl 3 0 0, 2θ 78.91, 1.213 Å, I 8
hkl 2 1 25, 2θ 79.16, 1.210 Å, I 7

Cell and atoms:
a b c (Å): 4.2025 4.2025 63.5691
angles (deg): 90.00 90.00 120.00
Space group R-3m (No. 166, hexagonal axes)
Asymmetric unit:
Pm (0.0000, 0.0000, 0.0801) x6
Pm (0.0000, 0.0000, 0.1889) x6
Pm (0.0000, 0.0000, 0.3607) x6
Te (0.0000, 0.0000, 0.4453) x6
Se (0.0000, 0.0000, 0.0000) x3
Se (0.0000, 0.0000, 0.2795) x6

***

Record 8
# Pm4Te3Se
Calculated XRD peak list, a wavelength of 1.5418 Å. Input: DFT lattice parameters and positions (PBE).
Lines closer than 0.1° are merged.

The 12 most intense peaks (10 to 90 degrees two-theta), most intense first:
hkl 2 0 1, 2θ 28.64, 3.117 Å, I 100
hkl 2 4 1, 2θ 40.93, 2.205 Å, I 49
hkl 0 4 2, 2θ 51.05, 1.789 Å, I 13
hkl 0 0 2, 2θ 41.36, 2.183 Å, I 13
hkl 4 4 0, 2θ 50.42, 1.810 Å, I 12
hkl 4 0 0, 2θ 40.61, 2.222 Å, I 12
hkl 4 4 2, 2θ 67.19, 1.393 Å, I 10
hkl 2 8 1, 2θ 67.07, 1.395 Å, I 10
hkl 2 4 3, 2θ 75.13, 1.264 Å, I 8
hkl 4 0 2, 2θ 59.36, 1.557 Å, I 8
hkl 6 4 1, 2θ 74.11, 1.279 Å, I 7
hkl 2 0 3, 2θ 67.76, 1.383 Å, I 6

Cell and atoms:
a b c (Å): 8.8862 12.4870 4.3658
angles (deg): 90.00 90.00 90.00
Space group Cmmm (No. 65)
Asymmetric unit:
Pm (0.0000, 0.2346, 0.0000) x4
Pm (0.2247, 0.0000, 0.5000) x4
Te (0.0000, 0.5000, 0.0000) x2
Te (0.2500, 0.2500, 0.5000) x4
Se (0.0000, 0.0000, 0.0000) x2